Record 1
YEr12Co6: computed X-ray diffraction stick pattern (Cu Ka), based on a structure optimized by DFT (GGA-PBE).
Neutral-atom scattering factors, no anomalous dispersion.

The 10 most intense peaks (2θ from 15° to 90°), in order of rising 2θ:
(hkl)  2theta  I/Imax
3 1 0  29.17  54
2 2 2  32.03  48
3 2 1  34.67  100
4 0 0  37.15  17
5 1 0  47.92  24
5 0 3  55.34  38
5 3 2  58.80  39
5 4 3  68.54  18
8 2 2  85.02  17
7 5 0  86.48  19

Structure:
Cell lengths 9.681, 9.681, 9.681 Å; angles 90.00, 90.00, 90.00 degrees
Space group Im-3 (No. 204)
One atom of each set of equivalent atoms:
Y: 0.000 0.000 0.000 [2 per cell]
Er: 0.000 0.194 0.309 [24 per cell]
Co: 0.000 0.386 0.500 [12 per cell]



Record 2
YEr4Co2: computed X-ray diffraction stick pattern (Cu Ka), based on a structure optimized by DFT (GGA-PBE).
Neutral-atom scattering factors, no anomalous dispersion.

The 10 most intense peaks (2θ from 15° to 90°), in order of rising 2θ:
(hkl)  2theta  I/Imax
0 2 1  31.09  100
2 1 -2  31.44  74
1 2 -1  31.75  55
2 0 1  32.85  56
1 0 -3  34.58  77
1 1 2  35.41  49
1 2 1  35.63  55
1 2 -2  36.90  63
2 2 -1  37.37  59
2 2 0  38.72  63

Structure:
Cell lengths 7.524, 6.282, 7.791 Å; angles 90.00, 113.06, 90.00 degrees
Space group P2_1/m (No. 11)
One atom of each set of equivalent atoms:
Y: 0.023 0.250 0.166 [2 per cell]
Er: 0.242 0.502 0.586 [4 per cell]
Er: 0.326 0.750 0.252 [2 per cell]
Er: 0.376 0.250 0.018 [2 per cell]
Co: 0.014 0.250 0.727 [2 per cell]
Co: 0.411 0.250 0.372 [2 per cell]